For LiP4WO12, the GGA+U geometry in Alexandria gives the theoretical XRD peak list in this record (Cu Kα X-rays).
Kinematic intensities with the Lorentz-polarization factor, no thermal factor.

Main lines, by intensity (2θ from 5° to 70°):
Position (°2θ), d/Å, I (rel.)
16.2, 5.475, 100
27.3, 3.267, 78
15.6, 5.685, 51
28.0, 3.190, 48
19.8, 4.489, 46
16.6, 5.354, 43
29.0, 3.078, 43
31.5, 2.841, 37

Cell: 6.9558 8.9771 7.3973 Å, 90.00 96.71 90.00°
Fractional coordinates of all 36 atoms:
1 Li 0.2199 0.0000 0.3390
2 Li 0.7801 0.5000 0.6610
3 P 0.0684 0.4833 0.3752
4 P 0.0869 0.8337 0.9646
5 P 0.4285 0.6334 0.9261
6 P 0.4415 0.3280 0.3872
7 P 0.5585 0.8280 0.6128
8 P 0.5715 0.1334 0.0739
9 P 0.9131 0.3337 0.0354
10 P 0.9316 0.9833 0.6248
11 W 0.2344 0.2855 0.7462
12 W 0.7656 0.7855 0.2538
13 O 0.0082 0.6393 0.3258
14 O 0.0532 0.4422 0.5726
15 O 0.0654 0.8698 0.7480
16 O 0.1153 0.2920 0.9986
17 O 0.1887 0.9492 0.0824
18 O 0.2113 0.6831 0.9526
19 O 0.2845 0.4603 0.3234
20 O 0.3254 0.2128 0.4814
21 O 0.3843 0.8928 0.5107
22 O 0.4090 0.4874 0.8266
23 O 0.4491 0.1420 0.8929
24 O 0.4902 0.2612 0.1979
25 O 0.5098 0.7612 0.8021
26 O 0.5509 0.6420 0.1071
27 O 0.5910 0.9874 0.1734
28 O 0.6157 0.3928 0.4893
29 O 0.6746 0.7128 0.5186
30 O 0.7155 0.9603 0.6766
31 O 0.7887 0.1831 0.0474
32 O 0.8113 0.4492 0.9176
33 O 0.8847 0.7920 0.0014
34 O 0.9346 0.3698 0.2520
35 O 0.9468 0.9422 0.4274
36 O 0.9918 0.1393 0.6742

For LiPW2O8, the GGA+U geometry in Alexandria gives the theoretical XRD peak list in this record (Cu Kα X-rays).
Kinematic intensities with the Lorentz-polarization factor, no thermal factor.

Main lines, by intensity (2θ from 5° to 70°):
Position (°2θ), d/Å, I (rel.)
21.9, 4.056, 100
19.9, 4.452, 88
26.1, 3.409, 85
23.6, 3.773, 67
33.1, 2.709, 55
9.9, 8.898, 53
34.7, 2.588, 51
24.0, 3.713, 43

Cell: 5.2982 6.7406 17.7951 Å, 90.00 90.00 90.00°
Fractional coordinates of all 48 atoms:
1 Li 0.2306 0.0170 0.2067
2 Li 0.2694 0.9830 0.7067
3 Li 0.7306 0.4830 0.7933
4 Li 0.7694 0.5170 0.2933
5 P 0.2323 0.4539 0.6917
6 P 0.2677 0.5461 0.1917
7 P 0.7323 0.0461 0.3083
8 P 0.7677 0.9539 0.8083
9 W 0.2419 0.0916 0.5471
10 W 0.2476 0.7510 0.3732
11 W 0.2524 0.2490 0.8732
12 W 0.2581 0.9084 0.0471
13 W 0.7419 0.4084 0.4529
14 W 0.7476 0.7490 0.6268
15 W 0.7524 0.2510 0.1268
16 W 0.7581 0.5916 0.9529
17 O 0.0385 0.5377 0.4147
18 O 0.0440 0.0389 0.8025
19 O 0.0486 0.7125 0.9896
20 O 0.0495 0.9024 0.6163
21 O 0.0927 0.3906 0.1585
22 O 0.1695 0.5978 0.2718
23 O 0.2355 0.2570 0.6475
24 O 0.2395 0.0889 0.9564
25 O 0.2605 0.9111 0.4564
26 O 0.2645 0.7430 0.1475
27 O 0.3305 0.4022 0.7718
28 O 0.4073 0.6094 0.6585
29 O 0.4505 0.0976 0.1163
30 O 0.4514 0.2875 0.4896
31 O 0.4560 0.9611 0.3025
32 O 0.4615 0.4623 0.9147
33 O 0.5385 0.9623 0.5853
34 O 0.5440 0.4611 0.1975
35 O 0.5495 0.5976 0.3837
36 O 0.5486 0.7875 0.0104
37 O 0.5927 0.1094 0.8415
38 O 0.6695 0.9022 0.7282
39 O 0.7355 0.2430 0.3525
40 O 0.7395 0.4111 0.0436
41 O 0.7605 0.5889 0.5436
42 O 0.7645 0.7570 0.8525
43 O 0.8305 0.0978 0.2282
44 O 0.9073 0.8906 0.3415
45 O 0.9514 0.2125 0.5104
46 O 0.9505 0.4024 0.8837
47 O 0.9560 0.5389 0.6975
48 O 0.9615 0.0377 0.0853

For LiP4WO12, the GGA+U geometry in Alexandria gives the theoretical XRD peak list in this record (Cu Kα X-rays).
Kinematic intensities with the Lorentz-polarization factor, no thermal factor.

Main lines, by intensity (2θ from 5° to 70°):
Position (°2θ), d/Å, I (rel.)
14.1, 6.274, 100
10.2, 8.666, 100
21.9, 4.054, 60
33.2, 2.701, 30
23.4, 3.808, 28
25.8, 3.449, 23
17.5, 5.082, 23
27.4, 3.255, 23

Cell: 10.8883 10.8883 5.4543 Å, 100.71 100.71 70.37°
Fractional coordinates of all 36 atoms:
1 Li 0.0935 0.0935 0.4915
2 Li 0.9065 0.9065 0.5085
3 P 0.1367 0.7073 0.8343
4 P 0.2010 0.4367 0.5492
5 P 0.2927 0.8633 0.1657
6 P 0.4367 0.2010 0.5492
7 P 0.5633 0.7990 0.4508
8 P 0.7073 0.1367 0.8343
9 P 0.7990 0.5633 0.4508
10 P 0.8633 0.2927 0.1657
11 W 0.0000 0.5000 0.0000
12 W 0.5000 0.0000 0.0000
13 O 0.0617 0.8157 0.6835
14 O 0.0656 0.6657 0.0008
15 O 0.1139 0.4017 0.6928
16 O 0.1692 0.4210 0.2677
17 O 0.1843 0.9383 0.3165
18 O 0.2129 0.5796 0.6506
19 O 0.2658 0.7342 0.0000
20 O 0.3343 0.9344 0.9992
21 O 0.3515 0.3515 0.6214
22 O 0.4017 0.1139 0.6928
23 O 0.4204 0.7871 0.3494
24 O 0.4210 0.1692 0.2677
25 O 0.5790 0.8308 0.7323
26 O 0.5796 0.2129 0.6506
27 O 0.5983 0.8861 0.3072
28 O 0.6485 0.6485 0.3786
29 O 0.6657 0.0656 0.0008
30 O 0.7342 0.2658 0.0000
31 O 0.7871 0.4204 0.3494
32 O 0.8157 0.0617 0.6835
33 O 0.8308 0.5790 0.7323
34 O 0.8861 0.5983 0.3072
35 O 0.9344 0.3343 0.9992
36 O 0.9383 0.1843 0.3165

For LiP4WO12, the GGA+U geometry in Alexandria gives the theoretical XRD peak list in this record (Cu Kα X-rays).
Kinematic intensities with the Lorentz-polarization factor, no thermal factor.

Main lines, by intensity (2θ from 5° to 70°):
Position (°2θ), d/Å, I (rel.)
12.9, 6.870, 100
22.9, 3.885, 85
12.1, 7.325, 65
20.9, 4.244, 39
17.7, 5.013, 34
32.3, 2.775, 33
25.2, 3.539, 33
30.9, 2.898, 33

Cell: 5.4636 13.7404 7.4148 Å, 90.00 98.90 90.00°
Fractional coordinates of all 36 atoms:
1 Li 0.2086 0.0000 0.1347
2 Li 0.7914 0.5000 0.8653
3 P 0.3134 0.7912 0.9700
4 P 0.3480 0.1465 0.8247
5 P 0.4728 0.3276 0.3706
6 P 0.4886 0.5435 0.4896
7 P 0.5114 0.0435 0.5104
8 P 0.5272 0.8276 0.6294
9 P 0.6520 0.6465 0.1753
10 P 0.6866 0.2912 0.0300
11 W 0.0197 0.6796 0.5867
12 W 0.9803 0.1796 0.4133
13 O 0.1107 0.1672 0.6985
14 O 0.1716 0.7077 0.8703
15 O 0.1818 0.8722 0.0458
16 O 0.2086 0.3071 0.3911
17 O 0.2465 0.5509 0.5612
18 O 0.2824 0.0778 0.3817
19 O 0.3329 0.7604 0.5326
20 O 0.3390 0.0906 0.9934
21 O 0.4520 0.9327 0.5474
22 O 0.4617 0.5927 0.2943
23 O 0.4877 0.2489 0.8656
24 O 0.4977 0.3380 0.1601
25 O 0.5023 0.8380 0.8399
26 O 0.5123 0.7489 0.1344
27 O 0.5383 0.0927 0.7057
28 O 0.5480 0.4327 0.4526
29 O 0.6610 0.5906 0.0066
30 O 0.6671 0.2604 0.4674
31 O 0.7176 0.5778 0.6183
32 O 0.7535 0.0509 0.4388
33 O 0.7914 0.8071 0.6089
34 O 0.8182 0.3722 0.9542
35 O 0.8284 0.2077 0.1297
36 O 0.8893 0.6672 0.3015